Entry 1:
Diffraction record for YTiO3. The powder diffraction line list is simulated, not measured: it uses a PBE-relaxed structure and Cu Kα.
Peak positions follow from Bragg's law for the DFT cell and can differ from measured ones.

Cell and atoms:
```
data_YTiO3
_chemical_formula_sum 'Y4 Ti4 O12'
_space_group_name_H-M_alt 'C m c m'
_space_group_IT_number 63
_space_group_name_Hall '-C 2c 2'
_cell_length_a 3.170
_cell_length_b 11.475
_cell_length_c 7.118
_cell_angle_alpha 90.00
_cell_angle_beta 90.00
_cell_angle_gamma 90.00
loop_
_atom_site_label
_atom_site_fract_x
_atom_site_fract_y
_atom_site_fract_z
Y1 0.000 0.218 0.250
Ti1 0.000 0.044 0.750
O1 0.000 0.157 0.570
O2 0.000 0.433 0.750
```

Main lines, in order of rising 2θ (10° ≤ 2θ ≤ 90°):
two_theta  I_rel  h k l
15.44  31  0 2 0
25.02  92  0 0 2
29.23  31  1 1 0
31.87  35  1 1 1
33.68  30  0 4 1
39.01  100  1 3 1
40.38  26  0 4 2
48.58  29  1 1 3
49.88  19  0 4 3
53.89  33  1 3 3

---

Entry 2:
Diffraction record for Yb2TiO5. The powder diffraction line list is simulated, not measured: it uses a PBE-relaxed structure and Cu Kα.
Peak positions follow from Bragg's law for the DFT cell and can differ from measured ones.

Cell and atoms:
```
data_Yb2TiO5
_chemical_formula_sum 'Yb8 Ti4 O20'
_space_group_name_H-M_alt 'C m c m'
_space_group_IT_number 63
_space_group_name_Hall '-C 2c 2'
_cell_length_a 4.098
_cell_length_b 11.007
_cell_length_c 10.456
_cell_angle_alpha 90.00
_cell_angle_beta 90.00
_cell_angle_gamma 90.00
loop_
_atom_site_label
_atom_site_fract_x
_atom_site_fract_y
_atom_site_fract_z
Yb1 0.000 0.143 0.069
Ti1 0.000 0.174 0.750
O1 0.000 0.052 0.626
O2 0.000 0.275 0.250
O3 0.000 0.290 0.593
```

Main lines, in order of rising 2θ (10° ≤ 2θ ≤ 90°):
two_theta  I_rel  h k l
16.11  28  0 2 0
16.96  41  0 0 2
23.16  97  1 1 0
30.36  100  0 2 3
32.76  57  1 3 0
34.76  62  1 1 3
44.21  29  2 0 0
54.12  46  1 5 3
54.57  38  2 2 3
63.32  28  1 7 0

---

Entry 3:
Diffraction record for Ti3Zn2O8. The powder diffraction line list is simulated, not measured: it uses a PBE-relaxed structure and Cu Kα.
Peak positions follow from Bragg's law for the DFT cell and can differ from measured ones.

Cell and atoms:
```
data_Ti3Zn2O8
_chemical_formula_sum 'Ti12 Zn8 O32'
_space_group_name_H-M_alt 'P 43 3 2'
_space_group_IT_number 212
_space_group_name_Hall 'P 4acd 2ab 3'
_cell_length_a 8.483
_cell_length_b 8.483
_cell_length_c 8.483
_cell_angle_alpha 90.00
_cell_angle_beta 90.00
_cell_angle_gamma 90.00
loop_
_atom_site_label
_atom_site_fract_x
_atom_site_fract_y
_atom_site_fract_z
Ti1 0.115 0.375 0.365
Zn1 0.005 0.505 0.995
O1 0.104 0.859 0.109
O2 0.109 0.391 0.609
```

Main lines, in order of rising 2θ (10° ≤ 2θ ≤ 90°):
two_theta  I_rel  h k l
14.77  14  1 1 0
23.45  13  2 1 0
25.72  11  2 1 1
29.79  56  2 2 0
35.08  100  3 1 1
52.87  21  4 2 2
56.36  35  5 1 1
61.87  41  4 4 0
73.16  10  5 3 3
88.54  16  5 5 3

---

Entry 4:
Diffraction record for TiZn3O3. The powder diffraction line list is simulated, not measured: it uses a PBE-relaxed structure and Cu Kα.
Peak positions follow from Bragg's law for the DFT cell and can differ from measured ones.

Cell and atoms:
```
data_TiZn3O3
_chemical_formula_sum 'Ti2 Zn6 O6'
_space_group_name_H-M_alt 'P m -3 n'
_space_group_IT_number 223
_space_group_name_Hall '-P 4n 2 3'
_cell_length_a 5.799
_cell_length_b 5.799
_cell_length_c 5.799
_cell_angle_alpha 90.00
_cell_angle_beta 90.00
_cell_angle_gamma 90.00
loop_
_atom_site_label
_atom_site_fract_x
_atom_site_fract_y
_atom_site_fract_z
Ti1 0.000 0.000 0.000
Zn1 0.000 0.250 0.500
O1 0.000 0.500 0.250
```

Main lines, in order of rising 2θ (10° ≤ 2θ ≤ 90°):
two_theta  I_rel  h k l
21.67  20  1 1 0
30.84  45  2 0 0
34.58  86  2 1 0
38.01  100  2 1 1
54.84  27  2 2 2
57.28  21  3 2 0
59.66  47  3 2 1
64.25  24  4 0 0
72.95  12  4 2 0
75.06  19  4 2 1

---

Entry 5:
Diffraction record for TiZn6O6. The powder diffraction line list is simulated, not measured: it uses a PBE-relaxed structure and Cu Kα.
Peak positions follow from Bragg's law for the DFT cell and can differ from measured ones.

Cell and atoms:
```
data_TiZn6O6
_chemical_formula_sum 'Ti1 Zn6 O6'
_space_group_name_H-M_alt 'P m -3'
_space_group_IT_number 200
_space_group_name_Hall '-P 2 2 3'
_cell_length_a 5.743
_cell_length_b 5.743
_cell_length_c 5.743
_cell_angle_alpha 90.00
_cell_angle_beta 90.00
_cell_angle_gamma 90.00
loop_
_atom_site_label
_atom_site_fract_x
_atom_site_fract_y
_atom_site_fract_z
Ti1 0.000 0.000 0.000
Zn1 0.000 0.254 0.500
O1 0.000 0.500 0.247
```

Main lines, in order of rising 2θ (10° ≤ 2θ ≤ 90°):
two_theta  I_rel  h k l
21.89  56  1 1 0
31.15  35  2 0 0
34.93  100  2 1 0
38.39  76  2 1 1
50.24  11  3 1 0
55.42  37  2 2 2
57.89  25  3 0 2
60.30  36  3 2 1
64.95  23  4 0 0
75.92  21  4 2 1

---

Entry 6:
Diffraction record for TiZn3O4. The powder diffraction line list is simulated, not measured: it uses a PBE-relaxed structure and Cu Kα.
Peak positions follow from Bragg's law for the DFT cell and can differ from measured ones.

Cell and atoms:
```
data_TiZn3O4
_chemical_formula_sum 'Ti2 Zn6 O8'
_space_group_name_H-M_alt 'I -4 2 m'
_space_group_IT_number 121
_space_group_name_Hall 'I -4 2'
_cell_length_a 5.069
_cell_length_b 5.069
_cell_length_c 8.606
_cell_angle_alpha 90.00
_cell_angle_beta 90.00
_cell_angle_gamma 90.00
loop_
_atom_site_label
_atom_site_fract_x
_atom_site_fract_y
_atom_site_fract_z
Ti1 0.000 0.000 0.000
Zn1 0.000 0.000 0.500
Zn2 0.000 0.500 0.250
O1 0.201 0.201 0.865
```

Main lines, in order of rising 2θ (10° ≤ 2θ ≤ 90°):
two_theta  I_rel  h k l
32.51  100  1 1 2
35.41  24  2 0 0
42.00  7  0 0 4
50.95  17  2 2 0
56.07  26  2 0 4
61.75  28  3 1 2
68.09  8  2 2 4
70.75  9  1 1 6
84.07  5  3 3 2
85.70  5  4 2 0

---

Entry 7:
Diffraction record for Ti3Zn2O8. The powder diffraction line list is simulated, not measured: it uses a PBE-relaxed structure and Cu Kα.
Peak positions follow from Bragg's law for the DFT cell and can differ from measured ones.

Cell and atoms:
```
data_Ti3Zn2O8
_chemical_formula_sum 'Ti6 Zn4 O16'
_space_group_name_H-M_alt 'P 63 m c'
_space_group_IT_number 186
_space_group_name_Hall 'P 6c -2c'
_cell_length_a 5.9708
_cell_length_b 5.9708
_cell_length_c 9.5178
_cell_angle_alpha 90.00
_cell_angle_beta 90.00
_cell_angle_gamma 120.00
loop_
_atom_site_label
_atom_site_fract_x
_atom_site_fract_y
_atom_site_fract_z
Ti1 0.1623 0.3247 0.0000
Zn1 0.3333 0.6667 0.2853
Zn2 0.3333 0.6667 0.6754
O1 0.0000 0.0000 0.1068
O2 0.0359 0.5179 0.1218
O3 0.1619 0.3238 0.4013
O4 0.3333 0.6667 0.8898
```

Main lines, in order of rising 2θ (10° ≤ 2θ ≤ 90°):
two_theta  I_rel  h k l
25.44  78  1 0 2
29.93  31  1 1 0
33.13  89  1 0 3
34.70  27  2 0 0
35.50  100  1 1 2
36.00  59  2 0 1
55.20  54  2 1 3
56.81  24  3 0 2
60.39  62  2 0 5
62.19  54  2 2 0

---

Entry 8:
Diffraction record for ZrTi2O6. The powder diffraction line list is simulated, not measured: it uses a PBE-relaxed structure and Cu Kα.
Peak positions follow from Bragg's law for the DFT cell and can differ from measured ones.

Cell and atoms:
```
data_ZrTi2O6
_chemical_formula_sum 'Zr4 Ti8 O24'
_space_group_name_H-M_alt 'P 1'
_space_group_IT_number 1
_cell_length_a 4.755
_cell_length_b 5.638
_cell_length_c 15.162
_cell_angle_alpha 89.92
_cell_angle_beta 88.98
_cell_angle_gamma 89.89
loop_
_space_group_symop_operation_xyz
'x,y,z'
loop_
_atom_site_label
_atom_site_fract_x
_atom_site_fract_y
_atom_site_fract_z
Zr1 0.000 0.000 0.000
Zr2 0.008 0.980 0.328
Zr3 0.495 0.119 0.503
Zr4 0.982 0.605 0.833
Ti1 0.004 0.609 0.164
Ti2 0.479 0.493 0.664
Ti3 0.485 0.128 0.830
Ti4 0.497 0.477 0.002
Ti5 0.498 0.480 0.331
Ti6 0.512 0.120 0.167
Ti7 0.985 0.624 0.501
Ti8 0.985 0.990 0.670
O1 0.187 0.918 0.562
O2 0.207 0.692 0.717
O3 0.228 0.913 0.884
O4 0.230 0.678 0.056
O5 0.232 0.193 0.727
O6 0.245 0.682 0.392
O7 0.249 0.909 0.215
O8 0.256 0.428 0.558
O9 0.264 0.401 0.901
O10 0.272 0.422 0.224
O11 0.288 0.201 0.387
O12 0.307 0.190 0.062
O13 0.670 0.421 0.772
O14 0.713 0.194 0.273
O15 0.716 0.193 0.618
O16 0.719 0.203 0.932
O17 0.740 0.422 0.441
O18 0.742 0.686 0.607
O19 0.749 0.923 0.776
O20 0.753 0.411 0.105
O21 0.753 0.693 0.949
O22 0.778 0.913 0.117
O23 0.780 0.671 0.273
O24 0.784 0.902 0.444
```

Main lines, in order of rising 2θ (10° ≤ 2θ ≤ 90°):
two_theta  I_rel  h k l
24.49  44  1 -1 0
30.09  100  1 1 3
30.49  97  1 1 -3
31.74  20  0 2 0
35.53  20  0 0 6
36.50  17  0 2 3
48.38  17  0 2 -6
52.36  41  2 0 6
53.39  26  2 0 -6
53.85  19  -2 2 3